The following is a theoretical powder XRD pattern of Sr3MgFe2Cu2Se2O5. It was derived from a cell relaxed with GGA+U, using Cu Ka.
No peak broadening, texture or thermal motion is included.

Crystal structure
a b c (Å): 12.925 12.925 12.925
angles (deg): 162.56 157.27 28.79
Positions (direct):
Sr: 0.000 0.000 0.000
Sr: 0.137 0.137 0.000
Sr: 0.863 0.863 0.000
Mg: 0.500 0.000 0.500
Fe: 0.414 0.414 0.000
Fe: 0.586 0.586 0.000
Cu: 0.253 0.753 0.500
Cu: 0.747 0.247 0.500
Se: 0.305 0.305 0.000
Se: 0.695 0.695 0.000
O: 0.076 0.576 0.500
O: 0.421 0.921 0.500
O: 0.500 0.500 0.000
O: 0.579 0.079 0.500
O: 0.924 0.424 0.500

Most intense lines, 10 to 90 degrees two-theta, low angle first:
2θ (°)  I (rel.)
28.7  58.7
30.5  88.2
32.2  46.5
33.9  73.3
35.2  100.0
36.0  61.1
46.3  44.2
49.7  48.6